The following is a calculated XRD peak list of TmInGaNi. It was derived from DFT lattice parameters and positions (GGA-PBE), using Cu Kα.
Intensities are scaled so that the largest is 100.

The 6 most intense peaks (2θ = 15–90°), sorted by position:
26.70 deg, rel. 15; 38.13 deg, rel. 100; 55.02 deg, rel. 17; 62.18 deg, rel. 6; 68.90 deg, rel. 34; 81.57 deg, rel. 11

Crystal structure
Cell lengths 4.7209, 4.7209, 4.7209 Å; angles 60.00, 60.00, 60.00 degrees
Positions (direct):
1 Tm 0.0000 0.0000 0.0000
2 In 0.5000 0.5000 0.5000
3 Ga 0.7500 0.7500 0.7500
4 Ni 0.2500 0.2500 0.2500